Computed powder XRD pattern of Sr5B3ClO9 for Cu Ka, from a structure optimized by DFT (GGA-PBE).
Peak positions follow from Bragg's law for the DFT cell and can differ from measured ones.

Cell and atoms:
```
data_Sr5B3ClO9
_chemical_formula_sum 'Sr20 B12 Cl4 O36'
_space_group_name_H-M_alt 'C 2 2 21'
_space_group_IT_number 20
_cell_length_a 10.0871
_cell_length_b 14.4385
_cell_length_c 7.4786
_cell_angle_alpha 90.00
_cell_angle_beta 90.00
_cell_angle_gamma 90.00
loop_
_space_group_symop_operation_xyz
'x,y,z'
'-x,-y,z+1/2'
'x,-y,-z'
'-x,y,-z+1/2'
'x+1/2,y+1/2,z'
'-x+1/2,-y+1/2,z+1/2'
'x+1/2,-y+1/2,-z'
'-x+1/2,y+1/2,-z+1/2'
loop_
_atom_site_label
_atom_site_fract_x
_atom_site_fract_y
_atom_site_fract_z
Sr1 0.0000 0.1357 0.2500
Sr2 0.0000 0.1378 0.7500
Sr3 0.1328 0.3709 0.9357
Sr4 0.2384 0.5000 0.5000
B1 0.1296 0.0000 0.5000
B2 0.1979 0.2880 0.5289
Cl1 0.0000 0.4475 0.2500
O1 0.0094 0.0000 0.0000
O2 0.1190 0.3533 0.6130
O3 0.1464 0.2010 0.4880
O4 0.1690 0.1914 0.9895
O5 0.1956 0.0014 0.3376
```

The 10 most intense peaks (2θ = 10–90°), in order of rising 2θ:
hkl 1 3 1, 3.756 Å, 23.69 deg, I 34
hkl 1 1 2, 3.407 Å, 26.15 deg, I 29
hkl 3 1 0, 3.275 Å, 27.23 deg, I 24
hkl 2 0 2, 3.003 Å, 29.76 deg, I 100
hkl 2 4 0, 2.935 Å, 30.45 deg, I 40
hkl 1 3 2, 2.834 Å, 31.57 deg, I 57
hkl 3 3 0, 2.756 Å, 32.48 deg, I 32
hkl 2 4 1, 2.732 Å, 32.78 deg, I 35
hkl 1 5 1, 2.601 Å, 34.48 deg, I 39
hkl 4 4 2, 1.809 Å, 50.44 deg, I 40